This entry pairs a crystal structure of Dy8Y2Tm3 with its simulated powder XRD pattern. Radiation: CuKα. Structure: a cell relaxed with PBE.
No peak broadening, texture or thermal motion is included.

Crystal structure
abc: 7.5703 20.2949 5.5571
angles: 90.00 90.00 90.00
Space group Cmmm (No. 65)
Asymmetric unit:
Dy 0.0000 0.1307 0.0000
Dy 0.0000 0.3358 0.0000
Dy 0.2115 0.3932 0.5000
Y 0.0000 0.2411 0.5000
Tm 0.0000 0.0000 0.5000
Tm 0.2159 0.5000 0.0000

Peak list (6 most intense, 2θ from 15° to 90°, by intensity)
2θ/deg	I_rel	index
33.66	100	2 4 1
32.22	40	0 0 2
29.70	29	1 5 1
30.95	29	0 6 1
58.35	26	2 4 3
25.11	15	2 2 0

=====

This entry pairs a crystal structure of Dy7Y2Tm4 with its simulated powder XRD pattern. Radiation: CuKα. Structure: a cell relaxed with PBE.
No peak broadening, texture or thermal motion is included.

Crystal structure
abc: 6.2984 11.3074 11.7002
angles: 90.00 94.35 90.00
Space group C2/m (No. 12)
Asymmetric unit:
Dy 0.0000 0.0000 0.0000
Dy 0.1856 0.5000 0.2594
Dy 0.1971 0.1819 0.2352
Y 0.0000 0.3369 0.0000
Tm 0.0000 0.2702 0.5000
Tm 0.2140 0.0000 0.4439

Peak list (6 most intense, 2θ from 15° to 90°, by intensity)
2θ/deg	I_rel	index
28.93	100	2 0 -1
30.65	94	0 0 4
35.41	87	1 3 -3
32.18	78	1 3 2
57.65	47	2 0 6
31.31	41	2 0 -2

=====

This entry pairs a crystal structure of Dy2YTm9 with its simulated powder XRD pattern. Radiation: CuKα. Structure: a cell relaxed with PBE.
No peak broadening, texture or thermal motion is included.

Crystal structure
abc: 11.0661 11.0661 3.4693
angles: 90.00 90.00 120.00
Space group P6/mmm (No. 191)
Asymmetric unit:
Dy 0.3333 0.6667 0.0000
Y 0.0000 0.0000 0.0000
Tm 0.0000 0.5000 0.0000
Tm 0.1769 0.3538 0.5000

Peak list (6 most intense, 2θ from 15° to 90°, by intensity)
2θ/deg	I_rel	index
32.36	100	2 2 0
31.85	52	2 0 1
63.28	29	2 2 2
35.84	26	2 1 1
30.41	22	1 1 1
57.39	18	4 2 1

=====

This entry pairs a crystal structure of Dy3Y3Tm8 with its simulated powder XRD pattern. Radiation: CuKα. Structure: a cell relaxed with PBE.
No peak broadening, texture or thermal motion is included.

Crystal structure
abc: 5.5519 10.6840 14.8012
angles: 90.00 90.00 90.00
Space group Immm (No. 71)
Asymmetric unit:
Dy 0.0000 0.0000 0.0000
Dy 0.0000 0.2944 0.0000
Y 0.0000 0.0000 0.5000
Y 0.0000 0.5000 0.1817
Tm 0.0000 0.1592 0.2214
Tm 0.0000 0.3421 0.3960

Peak list (6 most intense, 2θ from 15° to 90°, by intensity)
2θ/deg	I_rel	index
32.23	100	2 0 0
34.33	41	1 0 5
30.21	23	1 1 4
30.97	21	0 3 3
45.32	15	2 3 3
57.48	13	3 3 2